Record 1
Ac8Co3Pt: computed powder diffraction line list (Cu Kα (weighted mean of Kα1 and Kα2)), based on a GGA-PBE-relaxed structure.

Structure:
Cell lengths 8.354, 8.354, 8.320 Å; angles 117.49, 117.49, 62.34 degrees
Sites, in units of the cell vectors:
Ac 0.228 0.750 0.749
Ac 0.244 0.244 0.255
Ac 0.250 0.250 0.729
Ac 0.250 0.772 0.251
Ac 0.750 0.228 0.749
Ac 0.750 0.750 0.271
Ac 0.756 0.756 0.745
Ac 0.772 0.250 0.251
Co 0.000 0.000 0.000
Co 0.000 0.500 0.500
Co 0.500 0.000 0.500
Pt 0.500 0.500 0.000

Most intense lines, 2θ from 5° to 70°, low angle first:
2θ = 13.25°, intensity 28; 2θ = 25.38°, intensity 93; 2θ = 26.68°, intensity 26; 2θ = 29.68°, intensity 50; 2θ = 29.82°, intensity 100; 2θ = 41.77°, intensity 61; 2θ = 43.39°, intensity 34; 2θ = 43.57°, intensity 17; 2θ = 52.09°, intensity 21; 2θ = 61.95°, intensity 12; 2θ = 66.72°, intensity 13; 2θ = 68.99°, intensity 18

Record 2
NdSm7Tm4: computed powder diffraction line list (Cu Kα (weighted mean of Kα1 and Kα2)), based on a GGA-PBE-relaxed structure.

Structure:
Cell lengths 6.261, 7.226, 8.906 Å; angles 90.01, 103.55, 90.01 degrees
Sites, in units of the cell vectors:
Nd 0.000 0.000 0.000
Sm 0.000 0.500 0.000
Sm 0.223 0.000 0.665
Sm 0.280 0.748 0.336
Sm 0.499 0.254 0.002
Sm 0.501 0.746 0.998
Sm 0.720 0.252 0.664
Sm 0.777 0.000 0.335
Tm 0.219 0.500 0.664
Tm 0.278 0.254 0.335
Tm 0.722 0.746 0.665
Tm 0.781 0.500 0.336

Most intense lines, 2θ from 5° to 70°, low angle first:
2θ = 28.73°, intensity 36; 2θ = 29.35°, intensity 18; 2θ = 30.99°, intensity 51; 2θ = 31.74°, intensity 100; 2θ = 33.43°, intensity 91; 2θ = 40.01°, intensity 13; 2θ = 50.51°, intensity 39; 2θ = 54.49°, intensity 21; 2θ = 57.77°, intensity 20; 2θ = 60.45°, intensity 46; 2θ = 60.90°, intensity 16; 2θ = 61.93°, intensity 15

Record 3
La8Tb3Sm2: computed powder diffraction line list (Cu Kα (weighted mean of Kα1 and Kα2)), based on a GGA-PBE-relaxed structure.

Structure:
Cell lengths 9.068, 9.068, 6.200 Å; angles 107.41, 107.41, 81.99 degrees
Sites, in units of the cell vectors:
La 0.084 0.084 0.242
La 0.099 0.575 0.846
La 0.362 0.362 0.388
La 0.425 0.901 0.154
La 0.575 0.099 0.846
La 0.638 0.638 0.612
La 0.901 0.425 0.154
La 0.916 0.916 0.758
Tb 0.231 0.769 0.500
Tb 0.500 0.500 0.000
Tb 0.769 0.231 0.500
Sm 0.188 0.188 0.829
Sm 0.812 0.812 0.171

Most intense lines, 2θ from 5° to 70°, low angle first:
2θ = 24.92°, intensity 11; 2θ = 28.85°, intensity 23; 2θ = 29.16°, intensity 41; 2θ = 30.05°, intensity 55; 2θ = 30.27°, intensity 27; 2θ = 30.46°, intensity 100; 2θ = 32.04°, intensity 25; 2θ = 37.20°, intensity 17; 2θ = 38.70°, intensity 14; 2θ = 42.14°, intensity 15; 2θ = 53.53°, intensity 11; 2θ = 53.61°, intensity 18